Structure and computed X-ray powder pattern of Sr4MgMn4O10 (DFT lattice parameters and positions (GGA+U); Cu Kα, 1.54184 Å).

Structure:
Cell: 5.737 5.752 8.929 Å, 72.19 73.39 83.81°
Space group P1 (No. 1)
Inequivalent atoms, fractional coordinates:
1 Sr 0.000 0.000 0.000 [1 per cell]
2 Sr 0.152 0.119 0.588 [1 per cell]
3 Sr 0.549 0.532 0.989 [1 per cell]
4 Sr 0.757 0.743 0.554 [1 per cell]
5 Mg 0.469 0.505 0.419 [1 per cell]
6 Mn 0.113 0.574 0.790 [1 per cell]
7 Mn 0.424 0.994 0.244 [1 per cell]
8 Mn 0.604 0.130 0.760 [1 per cell]
9 Mn 0.969 0.416 0.268 [1 per cell]
10 O 0.215 0.776 0.451 [1 per cell]
11 O 0.332 0.341 0.291 [1 per cell]
12 O 0.337 0.813 0.788 [1 per cell]
13 O 0.385 0.391 0.679 [1 per cell]
14 O 0.469 0.065 0.002 [1 per cell]
15 O 0.734 0.740 0.274 [1 per cell]
16 O 0.747 0.214 0.496 [1 per cell]
17 O 0.842 0.854 0.791 [1 per cell]
18 O 0.878 0.371 0.766 [1 per cell]
19 O 0.988 0.423 0.041 [1 per cell]

Main lines, low angle first (2θ from 5° to 70°):
2θ (°)	d/Å	I_rel
10.80	8.192	24
28.88	3.092	24
31.32	2.856	47
31.45	2.845	56
31.66	2.826	100
32.22	2.778	39
37.52	2.397	26
47.40	1.918	33